# Rb3ErCl6
Calculated powder XRD pattern, Cu Kα X-rays. Input: a structure optimized by DFT (PBE).
Neutral-atom scattering factors, no anomalous dispersion.

The 10 most intense peaks (2θ from 10° to 90°), in order of rising 2θ:
2theta, Rel. int.
13.68, 38
15.88, 24
22.03, 24
22.62, 62
23.09, 100
30.53, 20
32.08, 64
33.03, 24
40.78, 17
47.21, 19

Cell and atoms:
Cell lengths 13.554, 13.554, 13.142 Å; angles 99.14, 99.14, 34.64 degrees
Fractional positions:
Rb  0.024  0.647  0.192
Rb  0.166  0.529  0.853
Rb  0.171  0.718  0.555
Rb  0.282  0.829  0.945
Rb  0.353  0.976  0.308
Rb  0.471  0.834  0.647
Rb  0.529  0.166  0.353
Rb  0.647  0.024  0.692
Rb  0.718  0.171  0.055
Rb  0.829  0.282  0.445
Rb  0.834  0.471  0.147
Rb  0.976  0.353  0.808
Er  0.000  0.500  0.500
Er  0.199  0.801  0.250
Er  0.500  0.000  0.000
Er  0.801  0.199  0.750
Cl  0.019  0.104  0.208
Cl  0.104  0.019  0.708
Cl  0.131  0.370  0.315
Cl  0.151  0.740  0.064
Cl  0.154  0.208  0.534
Cl  0.208  0.154  0.034
Cl  0.260  0.849  0.436
Cl  0.273  0.386  0.574
Cl  0.355  0.522  0.318
Cl  0.370  0.131  0.815
Cl  0.386  0.273  0.074
Cl  0.478  0.645  0.182
Cl  0.522  0.355  0.818
Cl  0.614  0.727  0.926
Cl  0.630  0.869  0.185
Cl  0.645  0.478  0.682
Cl  0.727  0.614  0.426
Cl  0.740  0.151  0.564
Cl  0.792  0.846  0.966
Cl  0.846  0.792  0.466
Cl  0.849  0.260  0.936
Cl  0.869  0.630  0.685
Cl  0.896  0.981  0.292
Cl  0.981  0.896  0.792